Structure and simulated powder diffractogram of Tb4Nd2Sn3H2 (a crystal structure in Alexandria, relaxed with PBE; Cu Kα).
Peak positions follow from Bragg's law for the DFT cell and can differ from measured ones.

Peak list (8 most intense, 2θ from 5° to 70°, sorted by position)
| d [Å] | I/Imax |
| --- | --- |
| 3.238 | 48 |
| 3.146 | 15 |
| 2.957 | 19 |
| 2.864 | 18 |
| 2.618 | 100 |
| 2.369 | 53 |
| 1.675 | 18 |
| 1.411 | 34 |

Structural model:
abc: 13.021 13.021 13.021
angles: 159.03 159.03 29.83
Atoms (fractional coordinates):
Tb (0.082, 0.582, 0.500)
Tb (0.418, 0.918, 0.500)
Tb (0.582, 0.082, 0.500)
Tb (0.918, 0.418, 0.500)
Nd (0.199, 0.199, 0.000)
Nd (0.801, 0.801, 0.000)
Sn (0.328, 0.328, 0.000)
Sn (0.500, 0.500, 0.000)
Sn (0.672, 0.672, 0.000)
H (0.099, 0.099, 0.000)
H (0.901, 0.901, 0.000)



Structure and simulated powder diffractogram of InTeSe (a crystal structure in Alexandria, relaxed with PBE; Cu Kα).
Peak positions follow from Bragg's law for the DFT cell and can differ from measured ones.

Peak list (8 most intense, 2θ from 5° to 70°, sorted by position)
| d [Å] | I/Imax |
| --- | --- |
| 5.026 | 27 |
| 3.515 | 100 |
| 3.129 | 38 |
| 2.869 | 18 |
| 2.810 | 20 |
| 2.439 | 24 |
| 2.107 | 17 |
| 2.022 | 17 |

Structural model:
abc: 8.684 6.370 7.627
angles: 90.00 109.63 90.00
Atoms (fractional coordinates):
In (0.181, 0.164, 0.371)
In (0.181, 0.336, 0.871)
In (0.819, 0.664, 0.129)
In (0.819, 0.836, 0.629)
Te (0.347, 0.031, 0.737)
Te (0.347, 0.469, 0.237)
Te (0.653, 0.531, 0.763)
Te (0.653, 0.969, 0.263)
Se (0.096, 0.643, 0.606)
Se (0.096, 0.857, 0.106)
Se (0.904, 0.143, 0.894)
Se (0.904, 0.357, 0.394)